No. 1
For LaB4ClO8, a DFT-relaxed cell (GGA-PBE, Alexandria) gives the calculated PXRD pattern in this record (λ = 1.5418 Å (Cu Kα)).
Kinematic intensities with the Lorentz-polarization factor, no thermal factor.

Cell and atoms:
Lattice parameters (Å, degrees): 6.639 11.425 9.907 90.00 106.67 90.00
Space group Cc (No. 9)
Unique sites:
La  0.000  0.204  0.000 (multiplicity 4)
B  0.147  0.098  0.378 (multiplicity 4)
B  0.311  0.444  0.921 (multiplicity 4)
B  0.401  0.245  0.858 (multiplicity 4)
B  0.465  0.032  0.930 (multiplicity 4)
Cl  0.351  0.320  0.195 (multiplicity 4)
O  0.011  0.017  0.431 (multiplicity 4)
O  0.083  0.097  0.223 (multiplicity 4)
O  0.119  0.218  0.424 (multiplicity 4)
O  0.180  0.466  0.443 (multiplicity 4)
O  0.247  0.332  0.883 (multiplicity 4)
O  0.350  0.133  0.912 (multiplicity 4)
O  0.371  0.074  0.437 (multiplicity 4)
O  0.388  0.240  0.708 (multiplicity 4)

Principal peaks in the range 2θ from 10° to 90°, sorted by position:
2θ (°)  I/Imax
15.51  68
16.34  100
18.70  82
20.44  46
28.76  38
41.62  40



No. 2
For Tb7PrEr12, a DFT-relaxed cell (GGA-PBE, Alexandria) gives the calculated PXRD pattern in this record (λ = 1.5418 Å (Cu Kα)).
Kinematic intensities with the Lorentz-polarization factor, no thermal factor.

Cell and atoms:
Lattice parameters (Å, degrees): 12.7720 12.7720 13.5360 90.00 90.00 120.00
Space group R-3 (No. 148, hexagonal axes)
Unique sites:
Tb  0.0000  0.0000  0.0000 (multiplicity 3)
Tb  0.0682  0.8656  0.3499 (multiplicity 18)
Pr  0.0000  0.0000  0.5000 (multiplicity 3)
Er  0.0044  0.4369  0.7471 (multiplicity 18)
Er  0.0682  0.1998  0.8460 (multiplicity 18)

Principal peaks in the range 2θ from 10° to 90°, sorted by position:
2θ (°)  I/Imax
27.57  21
29.86  67
30.98  44
32.03  100
39.66  32
42.48  34



No. 3
For ZrSn, a DFT-relaxed cell (GGA-PBE, Alexandria) gives the calculated PXRD pattern in this record (λ = 1.5418 Å (Cu Kα)).
Kinematic intensities with the Lorentz-polarization factor, no thermal factor.

Cell and atoms:
Lattice parameters (Å, degrees): 3.2840 3.2840 4.9333 90.00 90.00 120.00
Space group P-6m2 (No. 187)
Unique sites:
Zr  0.0000  0.0000  0.0000 (multiplicity 1)
Sn  0.3333  0.6667  0.5000 (multiplicity 1)

Principal peaks in the range 2θ from 10° to 90°, sorted by position:
2θ (°)  I/Imax
31.46  21
36.46  100
48.88  13
56.00  16
65.59  18
68.68  30



No. 4
For SrAcAgAs, a DFT-relaxed cell (GGA-PBE, Alexandria) gives the calculated PXRD pattern in this record (λ = 1.5418 Å (Cu Kα)).
Kinematic intensities with the Lorentz-polarization factor, no thermal factor.

Cell and atoms:
Lattice parameters (Å, degrees): 7.767 7.767 7.767 90.00 90.00 90.00
Space group F-43m (No. 216)
Unique sites:
Sr  0.000  0.000  0.000 (multiplicity 4)
Ac  0.000  0.000  0.500 (multiplicity 4)
Ag  0.250  0.250  0.750 (multiplicity 4)
As  0.250  0.250  0.250 (multiplicity 4)

Principal peaks in the range 2θ from 10° to 90°, sorted by position:
2θ (°)  I/Imax
19.80  16
32.61  100
46.78  18
58.19  38
68.31  12
77.77  16



No. 5
For Ag3Bi2Pd4, a DFT-relaxed cell (GGA-PBE, Alexandria) gives the calculated PXRD pattern in this record (λ = 1.5418 Å (Cu Kα)).
Kinematic intensities with the Lorentz-polarization factor, no thermal factor.

Cell and atoms:
Lattice parameters (Å, degrees): 8.139 4.703 8.778 90.00 90.07 90.00
Space group C2/m (No. 12)
Unique sites:
Ag  0.000  0.000  0.000 (multiplicity 2)
Ag  0.167  0.500  0.444 (multiplicity 4)
Bi  0.167  0.500  0.784 (multiplicity 4)
Pd  0.000  0.000  0.336 (multiplicity 4)
Pd  0.167  0.500  0.111 (multiplicity 4)

Principal peaks in the range 2θ from 10° to 90°, sorted by position:
2θ (°)  I/Imax
37.87  100
38.29  97
54.95  34
68.10  18
68.95  34
69.23  17



No. 6
For NbTe8Au2, a DFT-relaxed cell (GGA-PBE, Alexandria) gives the calculated PXRD pattern in this record (λ = 1.5418 Å (Cu Kα)).
Kinematic intensities with the Lorentz-polarization factor, no thermal factor.

Cell and atoms:
Lattice parameters (Å, degrees): 13.380 8.615 5.867 90.00 94.27 90.00
Space group C2/m (No. 12)
Unique sites:
Nb  0.000  0.000  0.000 (multiplicity 2)
Te  0.056  0.255  0.726 (multiplicity 8)
Te  0.113  0.500  0.170 (multiplicity 4)
Te  0.185  0.000  0.233 (multiplicity 4)
Au  0.186  0.000  0.721 (multiplicity 4)

Principal peaks in the range 2θ from 10° to 90°, sorted by position:
2θ (°)  I/Imax
24.60  100
28.47  59
30.56  77
35.21  77
38.80  79
41.95  56



No. 7
For Ce4BiSbC, a DFT-relaxed cell (GGA-PBE, Alexandria) gives the calculated PXRD pattern in this record (λ = 1.5418 Å (Cu Kα)).
Kinematic intensities with the Lorentz-polarization factor, no thermal factor.

Cell and atoms:
Lattice parameters (Å, degrees): 6.905 16.481 6.905 90.00 90.00 90.00
Space group Cmcm (No. 63)
Unique sites:
Ce  0.000  0.091  0.250 (multiplicity 4)
Ce  0.000  0.404  0.250 (multiplicity 4)
Ce  0.250  0.250  0.000 (multiplicity 8)
Bi  0.000  0.394  0.750 (multiplicity 4)
Sb  0.000  0.110  0.750 (multiplicity 4)
C  0.000  0.247  0.250 (multiplicity 4)

Principal peaks in the range 2θ from 10° to 90°, sorted by position:
2θ (°)  I/Imax
28.02  57
32.60  27
33.87  100
36.81  56
49.98  33
64.44  31



No. 8
For Ga3CuNi6, a DFT-relaxed cell (GGA-PBE, Alexandria) gives the calculated PXRD pattern in this record (λ = 1.5418 Å (Cu Kα)).
Kinematic intensities with the Lorentz-polarization factor, no thermal factor.

Cell and atoms:
Lattice parameters (Å, degrees): 8.163 13.498 4.459 90.00 90.00 90.00
Space group Cmc2_1 (No. 36)
Unique sites:
Ga  0.000  0.105  0.000 (multiplicity 4)
Ga  0.168  0.398  0.357 (multiplicity 8)
Cu  0.000  0.283  0.048 (multiplicity 4)
Ni  0.000  0.208  0.550 (multiplicity 4)
Ni  0.000  0.446  0.825 (multiplicity 4)
Ni  0.160  0.048  0.443 (multiplicity 8)
Ni  0.248  0.289  0.759 (multiplicity 8)

Principal peaks in the range 2θ from 10° to 90°, sorted by position:
2θ (°)  I/Imax
39.36  40
40.13  92
43.86  100
45.14  91
46.44  57
48.44  46



No. 9
For Sc4Cd2In5, a DFT-relaxed cell (GGA-PBE, Alexandria) gives the calculated PXRD pattern in this record (λ = 1.5418 Å (Cu Kα)).
Kinematic intensities with the Lorentz-polarization factor, no thermal factor.

Cell and atoms:
Lattice parameters (Å, degrees): 7.778 3.235 10.043 90.00 94.98 90.00
Space group P2/m (No. 10)
Unique sites:
Sc  0.170  0.000  0.393 (multiplicity 2)
Sc  0.285  0.000  0.940 (multiplicity 2)
Cd  0.063  0.500  0.134 (multiplicity 2)
In  0.182  0.500  0.663 (multiplicity 2)
In  0.435  0.500  0.196 (multiplicity 2)
In  0.500  0.500  0.500 (multiplicity 1)

Principal peaks in the range 2θ from 10° to 90°, sorted by position:
2θ (°)  I/Imax
27.57  100
34.46  58
35.12  91
35.53  61
36.79  89
37.07  85



No. 10
For ScP2Pd7, a DFT-relaxed cell (GGA-PBE, Alexandria) gives the calculated PXRD pattern in this record (λ = 1.5418 Å (Cu Kα)).
Kinematic intensities with the Lorentz-polarization factor, no thermal factor.

Cell and atoms:
Lattice parameters (Å, degrees): 4.005 4.005 19.605 90.00 90.00 90.00
Space group I4/mmm (No. 139)
Unique sites:
Sc  0.000  0.000  0.000 (multiplicity 2)
P  0.000  0.000  0.327 (multiplicity 4)
Pd  0.000  0.000  0.500 (multiplicity 2)
Pd  0.000  0.500  0.105 (multiplicity 8)
Pd  0.000  0.500  0.250 (multiplicity 4)

Principal peaks in the range 2θ from 10° to 90°, sorted by position:
2θ (°)  I/Imax
31.59  40
36.66  46
42.23  100
45.29  57
75.77  21
81.51  28



No. 11
For SrScAl, a DFT-relaxed cell (GGA-PBE, Alexandria) gives the calculated PXRD pattern in this record (λ = 1.5418 Å (Cu Kα)).
Kinematic intensities with the Lorentz-polarization factor, no thermal factor.

Cell and atoms:
Lattice parameters (Å, degrees): 4.857 4.873 7.723 90.00 90.00 90.00
Space group Pmmn (No. 59, origin choice 2)
Unique sites:
Sr  0.250  0.250  0.151 (multiplicity 2)
Sc  0.250  0.750  0.500 (multiplicity 2)
Al  0.250  0.250  0.708 (multiplicity 2)

Principal peaks in the range 2θ from 10° to 90°, sorted by position:
2θ (°)  I/Imax
21.59  45
28.40  94
29.53  100
34.91  83
36.89  37
48.00  51



No. 12
For PmPbO3, a DFT-relaxed cell (GGA-PBE, Alexandria) gives the calculated PXRD pattern in this record (λ = 1.5418 Å (Cu Kα)).
Kinematic intensities with the Lorentz-polarization factor, no thermal factor.

Cell and atoms:
Lattice parameters (Å, degrees): 6.719 6.551 7.540 90.00 93.96 90.00
Space group P2_1/c (No. 14)
Unique sites:
Pm  0.142  0.180  0.168 (multiplicity 4)
Pb  0.393  0.724  0.070 (multiplicity 4)
O  0.049  0.655  0.630 (multiplicity 4)
O  0.275  0.088  0.470 (multiplicity 4)
O  0.498  0.580  0.333 (multiplicity 4)

Principal peaks in the range 2θ from 10° to 90°, sorted by position:
2θ (°)  I/Imax
27.23  45
27.99  64
29.74  100
29.95  92
39.45  38
50.91  29